(1)
Structure and computed X-ray powder pattern of Tm3Ge2Ru2 (a PBE-relaxed structure; Cu Kα).
Peak positions follow from Bragg's law for the DFT cell and can differ from measured ones.

Structural model:
Cell lengths 5.5024, 7.6097, 13.5097 Å; angles 90.00, 90.00, 90.00 degrees
Space group Pbcm (No. 57)
Unique sites:
Tm: 0.1242 0.2318 0.2500 x4
Tm: 0.3498 0.5977 0.0990 x8
Ge: 0.1322 0.2500 0.0000 x4
Ge: 0.3788 0.6150 0.7500 x4
Ru: 0.1478 0.5350 0.5920 x8

Peak list (10 most intense, 10° ≤ 2θ ≤ 80°, by intensity)
2θ/deg  Rel. int.
40.20  100
39.10  78
34.91  63
34.67  62
35.54  61
33.28  61
40.04  46
44.14  34
35.32  32
57.20  32

(2)
Structure and computed X-ray powder pattern of Sr4Cr5 (a PBE-relaxed structure; Cu Kα).
Peak positions follow from Bragg's law for the DFT cell and can differ from measured ones.

Structural model:
Cell lengths 11.5320, 11.5320, 4.2496 Å; angles 90.00, 90.00, 90.00 degrees
Space group I4/mmm (No. 139)
Unique sites:
Sr: 0.0000 0.2836 0.0000 x8
Cr: 0.0000 0.0000 0.0000 x2
Cr: 0.0921 0.0921 0.5000 x8

Peak list (10 most intense, 10° ≤ 2θ ≤ 80°, by intensity)
2θ/deg  Rel. int.
31.38  100
27.19  99
10.85  86
44.71  55
38.53  54
15.37  53
21.80  48
39.86  36
60.25  30
42.55  30

(3)
Structure and computed X-ray powder pattern of Dy2Be3Cu12Ni (a PBE-relaxed structure; Cu Kα).
Peak positions follow from Bragg's law for the DFT cell and can differ from measured ones.

Structural model:
Cell lengths 7.6120, 7.6120, 16.6204 Å; angles 90.00, 90.00, 120.00 degrees
Space group R-3m (No. 166, hexagonal axes)
Unique sites:
Dy: 0.0000 0.0000 0.1063 x6
Be: 0.0000 0.5000 0.0000 x9
Cu: 0.0012 0.5006 0.8754 x18
Cu: 0.0399 0.5199 0.3571 x18
Ni: 0.0000 0.0000 0.5000 x3

Peak list (10 most intense, 10° ≤ 2θ ≤ 80°, by intensity)
2θ/deg  Rel. int.
34.74  100
47.80  57
52.03  28
38.46  26
30.11  23
28.45  17
60.43  16
37.69  15
36.46  13
27.59  13